Diffraction record for Sr2PaCuS5. The powder X-ray diffraction pattern is theoretical, not measured: it uses the GGA-PBE geometry in Alexandria and λ = 1.5418 Å (Cu Kα).

Structure:
abc: 8.7787 8.7787 12.5471
angles: 90.00 90.00 153.28
Element x y z (fractional)
1 Sr 0.1046 0.8954 0.5000
2 Sr 0.1114 0.8886 0.1523
3 Sr 0.8886 0.1114 0.6523
4 Sr 0.8954 0.1046 0.0000
5 Pa 0.1984 0.8016 0.8370
6 Pa 0.8016 0.1984 0.3370
7 Cu 0.4322 0.5678 0.2436
8 Cu 0.5678 0.4322 0.7436
9 S 0.0486 0.9514 0.8382
10 S 0.2943 0.7057 0.4803
11 S 0.2995 0.7005 0.1936
12 S 0.3520 0.6480 0.8289
13 S 0.5000 0.5000 0.0864
14 S 0.5000 0.5000 0.5864
15 S 0.6480 0.3520 0.3289
16 S 0.7005 0.2995 0.6936
17 S 0.7057 0.2943 0.9803
18 S 0.9514 0.0486 0.3382

Top 6 peaks for 2θ = 15–90°, most intense first:
d/Å, I (rel.)
2.871, 100
3.759, 58
2.412, 54
2.776, 41
5.056, 39
3.195, 28

Diffraction record for Tb2PaCuS6. The powder X-ray diffraction pattern is theoretical, not measured: it uses the GGA-PBE geometry in Alexandria and λ = 1.5418 Å (Cu Kα).

Structure:
abc: 6.3773 6.3773 6.2026
angles: 90.00 90.00 90.00
Element x y z (fractional)
1 Tb 0.0000 0.5000 0.0000
2 Tb 0.5000 0.0000 0.0000
3 Pa 0.0000 0.0000 0.6046
4 Cu 0.5000 0.5000 0.5482
5 S 0.0000 0.0000 0.1728
6 S 0.2637 0.2637 0.7486
7 S 0.2637 0.7363 0.7486
8 S 0.5000 0.5000 0.1911
9 S 0.7363 0.2637 0.7486
10 S 0.7363 0.7363 0.7486

Top 6 peaks for 2θ = 15–90°, most intense first:
d/Å, I (rel.)
3.647, 100
3.189, 36
1.918, 35
2.223, 32
2.255, 30
2.555, 21

Diffraction record for PaTl2CuS4. The powder X-ray diffraction pattern is theoretical, not measured: it uses the GGA-PBE geometry in Alexandria and λ = 1.5418 Å (Cu Kα).

Structure:
abc: 7.2499 7.2499 8.4452
angles: 90.00 90.00 90.00
Element x y z (fractional)
1 Pa 0.0000 0.0000 0.0000
2 Pa 0.5000 0.5000 0.5000
3 Tl 0.0000 0.0000 0.5000
4 Tl 0.0000 0.5000 0.2500
5 Tl 0.5000 0.0000 0.7500
6 Tl 0.5000 0.5000 0.0000
7 Cu 0.0000 0.5000 0.7500
8 Cu 0.5000 0.0000 0.2500
9 S 0.1723 0.2606 0.8624
10 S 0.2394 0.6723 0.6376
11 S 0.2606 0.8277 0.1376
12 S 0.3277 0.2394 0.3624
13 S 0.6723 0.7606 0.3624
14 S 0.7394 0.1723 0.1376
15 S 0.7606 0.3277 0.6376
16 S 0.8277 0.7394 0.8624

Top 6 peaks for 2θ = 15–90°, most intense first:
d/Å, I (rel.)
3.259, 100
2.015, 52
3.625, 45
2.563, 31
1.824, 24
1.347, 14

Diffraction record for Pa2TlCuS6. The powder X-ray diffraction pattern is theoretical, not measured: it uses the GGA-PBE geometry in Alexandria and λ = 1.5418 Å (Cu Kα).

Structure:
abc: 9.5150 9.5150 7.7460
angles: 104.84 104.84 100.21
Element x y z (fractional)
1 Pa 0.0433 0.2327 0.1522
2 Pa 0.2327 0.0433 0.6522
3 Pa 0.7673 0.9567 0.3478
4 Pa 0.9567 0.7673 0.8478
5 Tl 0.4029 0.5971 0.7500
6 Tl 0.5971 0.4029 0.2500
7 Cu 0.3291 0.6709 0.2500
8 Cu 0.6709 0.3291 0.7500
9 S 0.0395 0.1801 0.4773
10 S 0.1559 0.6558 0.9744
11 S 0.1801 0.0395 0.9773
12 S 0.2788 0.4385 0.2979
13 S 0.3442 0.8441 0.5256
14 S 0.4385 0.2788 0.7979
15 S 0.5615 0.7212 0.2021
16 S 0.6558 0.1559 0.4744
17 S 0.7212 0.5615 0.7021
18 S 0.8199 0.9605 0.0227
19 S 0.8441 0.3442 0.0256
20 S 0.9605 0.8199 0.5227

Top 6 peaks for 2θ = 15–90°, most intense first:
d/Å, I (rel.)
4.453, 100
3.614, 91
3.534, 83
2.433, 82
3.730, 74
4.847, 68

Diffraction record for Pa2CuSb. The powder X-ray diffraction pattern is theoretical, not measured: it uses the GGA-PBE geometry in Alexandria and λ = 1.5418 Å (Cu Kα).

Structure:
abc: 6.2458 8.8231 6.5024
angles: 90.00 90.00 90.00
Element x y z (fractional)
1 Pa 0.2500 0.0255 0.2500
2 Pa 0.2500 0.4745 0.2500
3 Pa 0.2500 0.5255 0.7500
4 Pa 0.2500 0.9745 0.7500
5 Pa 0.7500 0.0255 0.2500
6 Pa 0.7500 0.4745 0.2500
7 Pa 0.7500 0.5255 0.7500
8 Pa 0.7500 0.9745 0.7500
9 Cu 0.0000 0.2500 0.5291
10 Cu 0.0000 0.7500 0.4709
11 Cu 0.5000 0.2500 0.9709
12 Cu 0.5000 0.7500 0.0291
13 Sb 0.0000 0.2500 0.9510
14 Sb 0.0000 0.7500 0.0490
15 Sb 0.5000 0.2500 0.5490
16 Sb 0.5000 0.7500 0.4510

Top 6 peaks for 2θ = 15–90°, most intense first:
d/Å, I (rel.)
2.549, 100
2.617, 98
2.252, 70
1.576, 34
1.341, 31
2.680, 29

Diffraction record for PaCu2Se4. The powder X-ray diffraction pattern is theoretical, not measured: it uses the GGA-PBE geometry in Alexandria and λ = 1.5418 Å (Cu Kα).

Structure:
abc: 7.6335 7.6335 7.6335
angles: 117.72 109.33 101.76
Element x y z (fractional)
1 Pa 0.2421 0.4921 0.7500
2 Pa 0.2579 0.0079 0.2500
3 Cu 0.2500 0.7494 0.4994
4 Cu 0.7500 0.2500 0.0000
5 Cu 0.7500 0.7500 0.5000
6 Cu 0.7500 0.7506 0.0006
7 Se 0.0476 0.0361 0.4882
8 Se 0.0478 0.5594 0.0118
9 Se 0.4522 0.4639 0.5115
10 Se 0.4524 0.9406 0.9885
11 Se 0.5600 0.9916 0.5685
12 Se 0.5769 0.5084 0.0684
13 Se 0.9231 0.9915 0.9315
14 Se 0.9400 0.5085 0.4316

Top 6 peaks for 2θ = 15–90°, most intense first:
d/Å, I (rel.)
1.901, 100
2.292, 88
3.053, 85
2.397, 77
2.815, 62
4.415, 59

Diffraction record for PaCu2Se4. The powder X-ray diffraction pattern is theoretical, not measured: it uses the GGA-PBE geometry in Alexandria and λ = 1.5418 Å (Cu Kα).

Structure:
abc: 7.7590 7.7590 10.8919
angles: 90.00 90.00 90.00
Element x y z (fractional)
1 Pa 0.0000 0.2944 0.0000
2 Pa 0.0000 0.7056 0.5000
3 Pa 0.2944 0.0000 0.7500
4 Pa 0.7056 0.0000 0.2500
5 Cu 0.2413 0.5000 0.7500
6 Cu 0.2501 0.2501 0.3750
7 Cu 0.2501 0.7499 0.1250
8 Cu 0.5000 0.2413 0.0000
9 Cu 0.5000 0.7587 0.5000
10 Cu 0.7499 0.2501 0.6250
11 Cu 0.7499 0.7499 0.8750
12 Cu 0.7587 0.5000 0.2500
13 Se 0.0184 0.2445 0.7453
14 Se 0.0184 0.7555 0.7547
15 Se 0.2445 0.0184 0.0047
16 Se 0.2445 0.9816 0.4953
17 Se 0.2742 0.4836 0.5191
18 Se 0.2742 0.5164 0.9809
19 Se 0.4836 0.2742 0.2309
20 Se 0.4836 0.7258 0.2691
21 Se 0.5164 0.2742 0.7691
22 Se 0.5164 0.7258 0.7309
23 Se 0.7258 0.4836 0.4809
24 Se 0.7258 0.5164 0.0191
25 Se 0.7555 0.0184 0.9953
26 Se 0.7555 0.9816 0.5047
27 Se 0.9816 0.2445 0.2547
28 Se 0.9816 0.7555 0.2453

Top 6 peaks for 2θ = 15–90°, most intense first:
d/Å, I (rel.)
3.306, 100
1.933, 96
2.743, 87
2.723, 48
1.940, 45
3.288, 34

Diffraction record for PaCu4Si3. The powder X-ray diffraction pattern is theoretical, not measured: it uses the GGA-PBE geometry in Alexandria and λ = 1.5418 Å (Cu Kα).

Structure:
abc: 4.0033 4.0033 7.5630
angles: 90.00 90.00 90.00
Element x y z (fractional)
1 Pa 0.0000 0.0000 0.0000
2 Cu 0.0000 0.5000 0.3257
3 Cu 0.0000 0.5000 0.6743
4 Cu 0.5000 0.0000 0.3257
5 Cu 0.5000 0.0000 0.6743
6 Si 0.0000 0.0000 0.5000
7 Si 0.5000 0.5000 0.1522
8 Si 0.5000 0.5000 0.8478

Top 6 peaks for 2θ = 15–90°, most intense first:
d/Å, I (rel.)
2.651, 100
2.266, 79
2.749, 65
2.002, 59
3.538, 42
4.003, 42

Diffraction record for PaCu2Te3. The powder X-ray diffraction pattern is theoretical, not measured: it uses the GGA-PBE geometry in Alexandria and λ = 1.5418 Å (Cu Kα).

Structure:
abc: 7.9509 4.2354 11.1411
angles: 90.00 110.86 90.00
Element x y z (fractional)
1 Pa 0.1511 0.2500 0.1785
2 Pa 0.8489 0.7500 0.8215
3 Cu 0.1223 0.2500 0.9002
4 Cu 0.4023 0.7500 0.4093
5 Cu 0.5977 0.2500 0.5907
6 Cu 0.8777 0.7500 0.0998
7 Te 0.0505 0.7500 0.3450
8 Te 0.2792 0.7500 0.0179
9 Te 0.4595 0.7500 0.6623
10 Te 0.5405 0.2500 0.3377
11 Te 0.7208 0.2500 0.9821
12 Te 0.9495 0.2500 0.6550

Top 6 peaks for 2θ = 15–90°, most intense first:
d/Å, I (rel.)
3.290, 100
2.234, 75
2.791, 60
3.161, 54
2.328, 47
2.118, 38